This entry pairs a crystal structure of Tb4Zn5Cu2 with its simulated XRD peak list. Radiation: λ = 1.5418 Å (Cu Kα). Structure: a cell relaxed with GGA-PBE.
Kinematic intensities with the Lorentz-polarization factor, no thermal factor.

Most intense lines, 10 to 90 degrees two-theta, by angle:
d_spacing, I/Imax, (hkl)
2.844, 35, 0 1 2
2.671, 100, 1 1 -2
2.597, 84, 1 1 2
2.529, 71, 2 1 0
2.406, 39, 2 1 1
2.323, 48, 0 1 3
2.249, 52, 2 1 -2
2.205, 43, 2 0 3
2.180, 40, 1 0 -4
1.836, 42, 0 2 0

Cell: 6.9911 3.6718 9.0079 Å, 90.00 93.66 90.00°
Space group P2/m (No. 10)
Symmetry-distinct sites (fractional):
Tb 0.1759 0.0000 0.3719
Tb 0.2545 0.0000 0.9376
Zn 0.1966 0.5000 0.6579
Zn 0.4402 0.5000 0.2021
Zn 0.5000 0.5000 0.5000
Cu 0.0633 0.5000 0.1347

This entry pairs a crystal structure of Tb2Zn2Cu15 with its simulated XRD peak list. Radiation: λ = 1.5418 Å (Cu Kα). Structure: a cell relaxed with GGA-PBE.
Kinematic intensities with the Lorentz-polarization factor, no thermal factor.

Most intense lines, 10 to 90 degrees two-theta, by angle:
d_spacing, I/Imax, (hkl)
3.005, 27, 1 1 3
2.480, 43, 3 0 0
2.406, 33, 0 2 4
2.148, 61, 2 2 0
2.136, 100, 0 3 3
2.102, 51, 0 0 6
1.913, 29, 2 2 3
1.502, 24, 2 2 6
1.240, 26, 6 0 0
1.221, 17, 0 3 9

Cell: 8.5911 8.5911 12.6197 Å, 90.00 90.00 120.00°
Space group R-3m (No. 166, hexagonal axes)
Symmetry-distinct sites (fractional):
Tb 0.0000 0.0000 0.1525
Zn 0.0000 0.0000 0.3982
Cu 0.0000 0.2993 0.5000
Cu 0.0000 0.5000 0.0000
Cu 0.0015 0.5007 0.6536

This entry pairs a crystal structure of Tb3ZnCu with its simulated XRD peak list. Radiation: λ = 1.5418 Å (Cu Kα). Structure: a cell relaxed with GGA-PBE.
Kinematic intensities with the Lorentz-polarization factor, no thermal factor.

Most intense lines, 10 to 90 degrees two-theta, by angle:
d_spacing, I/Imax, (hkl)
3.490, 20, 1 1 1
3.197, 12, 0 6 0
2.605, 100, 1 5 1
2.510, 55, 2 0 0
2.169, 9, 1 7 1
1.974, 12, 2 6 0
1.775, 19, 2 0 2
1.524, 10, 2 10 0
1.467, 33, 3 5 1
1.122, 9, 4 0 2

Cell: 5.0202 19.1841 5.0186 Å, 90.00 90.00 90.00°
Space group Cmcm (No. 63)
Symmetry-distinct sites (fractional):
Tb 0.0000 0.0675 0.2500
Tb 0.0000 0.2492 0.2500
Tb 0.0000 0.4305 0.2500
Zn 0.0000 0.1577 0.7500
Cu 0.0000 0.3379 0.7500

This entry pairs a crystal structure of Tb8Zn2Cu with its simulated XRD peak list. Radiation: λ = 1.5418 Å (Cu Kα). Structure: a cell relaxed with GGA-PBE.
Kinematic intensities with the Lorentz-polarization factor, no thermal factor.

Most intense lines, 10 to 90 degrees two-theta, by angle:
d_spacing, I/Imax, (hkl)
3.064, 48, 3 1 1
2.840, 100, 5 1 -1
2.816, 63, 1 1 -2
2.722, 21, 3 1 -2
2.629, 44, 1 1 2
2.550, 62, 0 2 0
2.419, 24, 5 1 -2
1.522, 15, 5 3 -1
1.519, 16, 1 3 -2
1.395, 16, 7 1 3

Cell: 17.7135 5.0991 6.7701 Å, 90.00 105.02 90.00°
Space group C2/m (No. 12)
Symmetry-distinct sites (fractional):
Tb 0.0269 0.0000 0.2778
Tb 0.0908 0.5000 0.9510
Tb 0.1613 0.5000 0.4683
Tb 0.2003 0.0000 0.8163
Zn 0.1881 0.0000 0.2310
Cu 0.0000 0.5000 0.5000